(1)
Computed powder XRD pattern
Compound: Fe3O
Radiation: Cu Kα, 1.54184 Å
Structure: a DFT-relaxed cell (PBE+U, the Materials Project)

Atomic structure:
```
Fe3O
1.0
5.1094 0.0000 0.0000
-2.5547 4.4249 0.0000
0.0000 0.0000 4.5843
Fe O
6 2
Cartesian
0.0000 1.4393 1.1461
-1.3082 3.7052 1.1461
1.2465 0.7197 3.4382
1.3082 3.7052 1.1461
3.8629 0.7197 3.4382
2.5547 2.9855 3.4382
0.0000 2.9499 3.4382
2.5547 1.4750 1.1461
```

Top 10 peaks for 10° ≤ 2θ ≤ 80°, by angle:
2θ/deg, I (rel.)
20.07, 11
28.03, 16
35.13, 7
39.31, 35
40.78, 23
45.52, 100
57.93, 15
58.77, 6
74.25, 13
75.63, 19

=====

(2)
Computed powder XRD pattern
Compound: FeB2O4
Radiation: Cu Kα, 1.54184 Å
Structure: a DFT-relaxed cell (PBE+U, the Materials Project)

Atomic structure:
```
FeB2O4
1.0
4.4775 0.0000 0.0000
1.5649 5.3338 0.0000
1.5477 2.4017 4.9216
Fe B O
2 4 8
Cartesian
1.8797 2.2166 0.8323
5.7103 5.5189 4.0892
1.9048 2.3400 3.9310
3.4492 4.7576 2.0481
4.1408 2.9779 2.8735
5.6852 5.3956 0.9905
2.9027 6.6421 4.9058
2.0655 5.2039 2.1438
3.2834 2.0369 3.5911
3.9956 4.3934 3.4178
3.5944 3.3422 1.5038
4.3066 5.6987 1.3304
5.5245 2.5317 2.7777
4.6873 1.0934 0.0158
```

Top 10 peaks for 10° ≤ 2θ ≤ 80°, by angle:
2θ/deg, I (rel.)
19.37, 42
29.97, 72
30.54, 57
33.67, 100
34.26, 54
37.70, 43
40.75, 50
45.52, 42
46.75, 45
48.20, 42

=====

(3)
Computed powder XRD pattern
Compound: Mg11Mn2O13
Radiation: Cu Kα, 1.54184 Å
Structure: a DFT-relaxed cell (PBE+U, the Materials Project)

Atomic structure:
```
Mg11Mn2O13
1.0
-1.5193 2.1511 19.7982
1.5193 -2.1511 19.7982
1.5193 2.1511 -19.7982
Mg Mn O
11 2 13
Cartesian
0.0000 0.0000 0.0000
0.0000 0.0000 3.0025
0.0000 0.0000 9.1655
0.0000 0.0000 12.1571
0.0000 0.0000 15.2736
0.0000 0.0000 18.2899
0.0000 0.0000 21.3065
0.0000 0.0000 24.3228
0.0000 0.0000 27.4393
0.0000 0.0000 30.4310
0.0000 0.0000 36.5940
0.0000 0.0000 6.0885
0.0000 0.0000 33.5080
1.5193 0.0000 1.5005
1.5193 0.0000 4.4638
1.5193 0.0000 7.7109
1.5193 0.0000 10.6674
1.5193 0.0000 13.7136
1.5193 0.0000 16.7750
0.0000 2.1511 0.0000
0.0000 2.1511 3.0232
0.0000 2.1511 6.0846
0.0000 2.1511 9.1308
0.0000 2.1511 12.0873
0.0000 2.1511 15.3344
0.0000 2.1511 18.2977
```

Top 10 peaks for 10° ≤ 2θ ≤ 80°, by angle:
2θ/deg, I (rel.)
13.42, 3
21.73, 4
36.16, 19
42.00, 100
60.89, 47
60.99, 9
72.90, 7
72.98, 3
76.67, 8
76.81, 9

=====

(4)
Computed powder XRD pattern
Compound: MgZn2Co2P2O10
Radiation: Cu Kα, 1.54184 Å
Structure: a DFT-relaxed cell (PBE+U, the Materials Project)

Atomic structure:
```
MgZn2Co2P2O10
1.0
5.5413 0.0000 0.0000
-0.0399 5.5434 0.0000
-2.5690 -2.1987 6.5094
Mg Zn Co P O
1 2 2 2 10
Cartesian
0.0000 0.0000 0.0000
1.3584 1.8102 1.7706
1.5739 1.5345 4.7389
2.7706 0.0000 0.0000
1.4861 -1.0993 3.2547
-1.2248 0.5530 4.9748
4.1571 2.7918 1.5346
-0.1055 2.9798 2.4026
-1.2469 1.9693 5.6040
-1.2412 -0.5585 6.0870
0.0821 0.3792 4.1450
1.4057 -0.0650 1.5372
1.5266 3.4098 4.9722
2.8503 2.9655 2.3644
4.1735 3.9033 0.4225
4.1793 1.3754 0.9054
3.0379 0.3649 4.1068
```

Top 10 peaks for 10° ≤ 2θ ≤ 80°, by angle:
2θ/deg, I (rel.)
17.22, 54
17.58, 19
25.69, 24
27.23, 100
32.33, 23
36.42, 28
36.56, 31
36.69, 20
36.86, 25
40.91, 20

=====

(5)
Computed powder XRD pattern
Compound: AcCrO3
Radiation: Cu Kα, 1.54184 Å
Structure: a DFT-relaxed cell (PBE+U, the Materials Project)

Atomic structure:
```
AcCrO3
1.0
3.9893 0.0000 0.0000
0.0000 3.9893 0.0000
0.0000 0.0000 3.9893
Ac Cr O
1 1 3
Cartesian
0.0000 0.0000 0.0000
1.9947 1.9947 1.9947
0.0000 1.9947 1.9947
1.9947 0.0000 1.9947
1.9947 1.9947 0.0000
```

Top 10 peaks for 10° ≤ 2θ ≤ 80°, by angle:
2θ/deg, I (rel.)
22.28, 38
31.72, 100
39.11, 27
45.47, 29
51.20, 20
56.50, 40
66.27, 18
70.86, 10
75.34, 17
79.72, 10

=====

(6)
Computed powder XRD pattern
Compound: MgFe8O8F8
Radiation: Cu Kα, 1.54184 Å
Structure: a DFT-relaxed cell (PBE+U, the Materials Project)

Atomic structure:
```
MgFe8O8F8
1.0
9.8714 0.0000 0.0000
0.0000 3.0659 0.0000
-0.5622 0.0000 9.8966
Mg Fe O F
1 8 8 8
Cartesian
0.0000 0.0000 0.0000
1.8321 0.0000 4.9425
2.6050 0.0000 0.2702
4.5378 1.5329 2.6411
4.5373 1.5329 7.5382
6.8666 0.0000 0.7200
7.1729 0.0000 4.9955
9.3874 1.5329 2.7801
9.4625 1.5329 7.0288
0.5831 0.0000 3.4755
1.2740 1.5329 0.6002
1.1074 1.5329 5.8878
3.6671 0.0000 1.8926
6.0200 1.5329 1.4171
7.9067 1.5329 4.0423
8.6530 0.0000 1.5537
8.4685 0.0000 6.4373
0.5455 0.0000 8.1756
3.0833 1.5329 4.2079
3.0843 1.5329 9.1079
3.5648 0.0000 6.5450
5.4556 0.0000 3.8017
5.5555 0.0000 8.6700
6.0884 1.5329 6.0097
8.3515 1.5329 8.9136
```

Top 10 peaks for 10° ≤ 2θ ≤ 80°, by angle:
2θ/deg, I (rel.)
24.76, 77
26.24, 78
31.78, 14
34.43, 100
39.60, 20
50.10, 14
50.19, 20
51.79, 49
60.38, 21
64.35, 14

=====

(7)
Computed powder XRD pattern
Compound: Mn2CuO4
Radiation: Cu Kα, 1.54184 Å
Structure: a DFT-relaxed cell (PBE+U, the Materials Project)

Atomic structure:
```
Mn2CuO4
1.0
5.9357 0.0000 0.0000
2.8683 5.2145 0.0000
2.9152 1.7509 4.8891
Mn Cu O
4 2 8
Cartesian
0.0000 0.0000 0.0000
1.4576 0.8755 2.4445
1.4341 2.6072 0.0000
2.9679 0.0000 0.0000
4.4057 2.6181 1.8330
7.3135 4.3472 3.0561
5.6640 5.3150 3.7227
4.3689 2.6005 3.8503
4.3647 4.5270 1.1679
2.8225 1.6787 1.1749
8.8967 5.2867 3.7142
7.3545 2.4384 3.7211
7.3502 4.3649 1.0388
6.0551 1.6504 1.1664
```

Top 10 peaks for 10° ≤ 2θ ≤ 80°, by angle:
2θ/deg, I (rel.)
29.78, 51
30.03, 50
34.81, 35
34.94, 70
35.07, 69
35.22, 69
35.32, 100
35.45, 33
56.23, 33
62.40, 58

=====

(8)
Computed powder XRD pattern
Compound: LiNi2O4
Radiation: Cu Kα, 1.54184 Å
Structure: a DFT-relaxed cell (PBE+U, the Materials Project)

Atomic structure:
```
LiNi2O4
1.0
0.0000 4.0714 4.0714
4.0714 0.0000 4.0714
4.0714 4.0714 0.0000
Li Ni O
2 4 8
Cartesian
1.0179 1.0179 1.0179
7.1250 7.1250 7.1250
4.0714 2.0357 2.0357
2.0357 4.0714 2.0357
2.0357 2.0357 4.0714
4.0714 4.0714 4.0714
2.1439 2.1439 2.1439
3.9632 3.9632 2.1439
3.9632 2.1439 3.9632
5.9989 4.1796 4.1796
2.1439 3.9632 3.9632
4.1796 5.9989 4.1796
4.1796 4.1796 5.9989
5.9989 5.9989 5.9989
```

Top 10 peaks for 10° ≤ 2θ ≤ 80°, by angle:
2θ/deg, I (rel.)
18.88, 100
36.60, 48
38.29, 15
44.51, 52
48.75, 12
58.94, 20
64.76, 31
68.13, 14
76.75, 5
77.81, 8

=====

(9)
Computed powder XRD pattern
Compound: Mn2OF3
Radiation: Cu Kα, 1.54184 Å
Structure: a DFT-relaxed cell (PBE+U, the Materials Project)

Atomic structure:
```
Mn2OF3
1.0
4.8787 -3.1615 0.0000
4.8787 3.1615 0.0000
-4.4977 0.0000 9.7197
Mn O F
8 4 12
Cartesian
0.0000 0.0000 0.0000
2.5239 1.6144 2.4288
0.4206 0.0000 4.6928
2.7358 1.6144 7.2909
4.8787 0.0000 0.0000
2.5239 -1.6144 2.4288
4.8391 0.0000 5.0269
2.7358 -1.6144 7.2909
-2.9472 0.0000 8.1499
1.7655 0.0000 3.2554
3.4942 0.0000 6.4643
8.2069 0.0000 1.5697
-0.6148 1.5854 8.7277
1.2430 1.6057 5.8428
-1.0800 0.0000 6.2405
4.0168 1.6057 3.8768
5.8745 1.5854 0.9920
3.4507 0.0000 1.4336
1.8090 0.0000 8.2861
-0.6148 -1.5854 8.7277
1.2430 -1.6057 5.8428
6.3397 0.0000 3.4792
4.0168 -1.6057 3.8768
5.8745 -1.5854 0.9920
```

Top 10 peaks for 10° ≤ 2θ ≤ 80°, by angle:
2θ/deg, I (rel.)
25.37, 98
26.40, 97
33.81, 100
38.31, 22
39.03, 20
50.35, 65
51.51, 55
52.10, 22
64.47, 20
64.66, 33

=====

(10)
Computed powder XRD pattern
Compound: MgPb2W2O8
Radiation: Cu Kα, 1.54184 Å
Structure: a DFT-relaxed cell (PBE+U, the Materials Project)

Atomic structure:
```
MgPb2W2O8
1.0
5.2523 0.0000 0.0000
-1.3538 7.0359 0.0000
-1.4227 -3.6594 6.0374
Mg Pb W O
1 2 2 8
Cartesian
0.0000 0.0000 0.0000
0.6230 3.1503 0.3888
0.2344 1.3873 3.4783
-1.5667 4.8072 2.7524
2.4415 -0.7009 1.6134
-2.1696 4.0894 4.3265
-0.6817 3.0465 2.2221
-0.5810 5.3959 0.8155
1.1662 0.9878 1.4362
1.4219 -1.1721 3.2800
1.9621 6.9168 0.0821
2.0447 4.5146 1.5848
4.0840 -0.3688 2.8146
```

Top 10 peaks for 10° ≤ 2θ ≤ 80°, by angle:
2θ/deg, I (rel.)
14.67, 95
18.20, 100
23.30, 89
27.00, 71
29.27, 96
29.44, 73
29.70, 79
34.12, 57
34.99, 53
44.38, 54